No. 1
Starting from a structure optimized by DFT (GGA-PBE), the powder XRD pattern of ErZn10Pd2 was simulated for Cu Kα, 1.54184 Å.
Peak positions follow from Bragg's law for the DFT cell and can differ from measured ones.

Top 6 peaks for 10 to 90 degrees two-theta, in order of rising 2θ:
two_theta  I (rel.)
34.85  51
38.97  100
40.47  52
40.83  47
41.20  65
73.59  28

Cell and atoms:
```
data_ErZn10Pd2
_chemical_formula_sum 'Er1 Zn10 Pd2'
_cell_length_a 8.766
_cell_length_b 6.800
_cell_length_c 6.738
_cell_angle_alpha 80.70
_cell_angle_beta 49.96
_cell_angle_gamma 49.34
_space_group_name_H-M_alt 'P 1'
_space_group_IT_number 1
loop_
_space_group_symop_operation_xyz
'x,y,z'
loop_
_atom_site_label
_atom_site_fract_x
_atom_site_fract_y
_atom_site_fract_z
Er1 0.000 0.000 0.000
Zn1 0.000 0.000 0.500
Zn2 0.004 0.349 0.651
Zn3 0.285 0.501 0.499
Zn4 0.349 0.004 0.996
Zn5 0.499 0.715 0.285
Zn6 0.500 0.500 0.000
Zn7 0.501 0.285 0.715
Zn8 0.651 0.996 0.004
Zn9 0.715 0.499 0.501
Zn10 0.996 0.651 0.349
Pd1 0.000 0.500 0.000
Pd2 0.500 0.000 0.500
```

---

No. 2
Starting from a structure optimized by DFT (GGA-PBE), the powder XRD pattern of Er3Zn4Pd2 was simulated for Cu Kα, 1.54184 Å.
Peak positions follow from Bragg's law for the DFT cell and can differ from measured ones.

Top 6 peaks for 10 to 90 degrees two-theta, in order of rising 2θ:
two_theta  I (rel.)
34.55  31
35.08  73
35.61  100
40.04  78
40.73  45
54.42  32

Cell and atoms:
```
data_Er3Zn4Pd2
_chemical_formula_sum 'Er3 Zn4 Pd2'
_cell_length_a 5.699
_cell_length_b 5.699
_cell_length_c 8.449
_cell_angle_alpha 114.27
_cell_angle_beta 114.27
_cell_angle_gamma 45.75
_space_group_name_H-M_alt 'P 1'
_space_group_IT_number 1
loop_
_space_group_symop_operation_xyz
'x,y,z'
loop_
_atom_site_label
_atom_site_fract_x
_atom_site_fract_y
_atom_site_fract_z
Er1 0.000 0.000 0.000
Er2 0.318 0.318 0.356
Er3 0.682 0.682 0.644
Zn1 0.026 0.026 0.368
Zn2 0.282 0.282 0.952
Zn3 0.718 0.718 0.048
Zn4 0.974 0.974 0.632
Pd1 0.406 0.406 0.739
Pd2 0.594 0.594 0.261
```

---

No. 3
Starting from a structure optimized by DFT (GGA-PBE), the powder XRD pattern of Er3Zn2Pd6 was simulated for Cu Kα, 1.54184 Å.
Peak positions follow from Bragg's law for the DFT cell and can differ from measured ones.

Top 6 peaks for 10 to 90 degrees two-theta, in order of rising 2θ:
two_theta  I (rel.)
34.10  100
36.98  32
38.02  71
42.99  61
43.91  87
58.72  34

Cell and atoms:
```
data_Er3Zn2Pd6
_chemical_formula_sum 'Er3 Zn2 Pd6'
_cell_length_a 12.499
_cell_length_b 12.499
_cell_length_c 12.499
_cell_angle_alpha 161.01
_cell_angle_beta 161.01
_cell_angle_gamma 26.98
_space_group_name_H-M_alt 'P 1'
_space_group_IT_number 1
loop_
_space_group_symop_operation_xyz
'x,y,z'
loop_
_atom_site_label
_atom_site_fract_x
_atom_site_fract_y
_atom_site_fract_z
Er1 0.000 0.000 0.000
Er2 0.198 0.198 0.000
Er3 0.802 0.802 0.000
Zn1 0.451 0.451 0.000
Zn2 0.549 0.549 0.000
Pd1 0.108 0.608 0.500
Pd2 0.314 0.314 0.000
Pd3 0.392 0.892 0.500
Pd4 0.608 0.108 0.500
Pd5 0.686 0.686 0.000
Pd6 0.892 0.392 0.500
```

---

No. 4
Starting from a structure optimized by DFT (GGA-PBE), the powder XRD pattern of Er4ZnPd2 was simulated for Cu Kα, 1.54184 Å.
Peak positions follow from Bragg's law for the DFT cell and can differ from measured ones.

Top 6 peaks for 10 to 90 degrees two-theta, in order of rising 2θ:
two_theta  I (rel.)
25.39  25
27.27  53
31.80  47
37.99  100
39.91  53
56.29  31

Cell and atoms:
```
data_Er4ZnPd2
_chemical_formula_sum 'Er4 Zn1 Pd2'
_cell_length_a 9.428
_cell_length_b 9.428
_cell_length_c 9.428
_cell_angle_alpha 29.10
_cell_angle_beta 29.10
_cell_angle_gamma 29.10
_space_group_name_H-M_alt 'P 1'
_space_group_IT_number 1
loop_
_space_group_symop_operation_xyz
'x,y,z'
loop_
_atom_site_label
_atom_site_fract_x
_atom_site_fract_y
_atom_site_fract_z
Er1 0.120 0.120 0.120
Er2 0.295 0.295 0.295
Er3 0.705 0.705 0.705
Er4 0.880 0.880 0.880
Zn1 0.500 0.500 0.500
Pd1 0.404 0.404 0.404
Pd2 0.596 0.596 0.596
```

---

No. 5
Starting from a structure optimized by DFT (GGA-PBE), the powder XRD pattern of Pm5Er6 was simulated for Cu Kα, 1.54184 Å.
Peak positions follow from Bragg's law for the DFT cell and can differ from measured ones.

Top 6 peaks for 10 to 90 degrees two-theta, in order of rising 2θ:
two_theta  I (rel.)
28.78  78
30.38  100
30.96  90
31.88  89
34.66  58
34.85  75

Cell and atoms:
```
data_Pm5Er6
_chemical_formula_sum 'Pm5 Er6'
_cell_length_a 7.962
_cell_length_b 7.962
_cell_length_c 6.402
_cell_angle_alpha 99.80
_cell_angle_beta 99.80
_cell_angle_gamma 110.85
_space_group_name_H-M_alt 'P 1'
_space_group_IT_number 1
loop_
_space_group_symop_operation_xyz
'x,y,z'
loop_
_atom_site_label
_atom_site_fract_x
_atom_site_fract_y
_atom_site_fract_z
Pm1 0.000 0.000 0.000
Pm2 0.131 0.869 0.500
Pm3 0.261 0.739 0.000
Pm4 0.739 0.261 0.000
Pm5 0.869 0.131 0.500
Er1 0.196 0.453 0.325
Er2 0.339 0.339 0.807
Er3 0.453 0.196 0.325
Er4 0.547 0.804 0.675
Er5 0.661 0.661 0.193
Er6 0.804 0.547 0.675
```

---

No. 6
Starting from a structure optimized by DFT (GGA-PBE), the powder XRD pattern of Pm7Er5 was simulated for Cu Kα, 1.54184 Å.
Peak positions follow from Bragg's law for the DFT cell and can differ from measured ones.

Top 6 peaks for 10 to 90 degrees two-theta, in order of rising 2θ:
two_theta  I (rel.)
29.60  33
30.74  41
32.54  100
36.96  22
55.80  22
60.50  24

Cell and atoms:
```
data_Pm7Er5
_chemical_formula_sum 'Pm7 Er5'
_cell_length_a 9.512
_cell_length_b 9.512
_cell_length_c 13.191
_cell_angle_alpha 117.56
_cell_angle_beta 117.56
_cell_angle_gamma 21.90
_space_group_name_H-M_alt 'P 1'
_space_group_IT_number 1
loop_
_space_group_symop_operation_xyz
'x,y,z'
loop_
_atom_site_label
_atom_site_fract_x
_atom_site_fract_y
_atom_site_fract_z
Pm1 0.000 0.000 0.000
Pm2 0.139 0.139 0.751
Pm3 0.167 0.167 0.503
Pm4 0.471 0.471 0.750
Pm5 0.529 0.529 0.250
Pm6 0.833 0.833 0.497
Pm7 0.861 0.861 0.249
Er1 0.194 0.194 0.248
Er2 0.332 0.332 0.998
Er3 0.500 0.500 0.500
Er4 0.668 0.668 0.002
Er5 0.806 0.806 0.752
```

---

No. 7
Starting from a structure optimized by DFT (GGA-PBE), the powder XRD pattern of Pm3Er2 was simulated for Cu Kα, 1.54184 Å.
Peak positions follow from Bragg's law for the DFT cell and can differ from measured ones.

Top 6 peaks for 10 to 90 degrees two-theta, in order of rising 2θ:
two_theta  I (rel.)
28.65  31
29.56  75
30.68  100
31.49  95
32.32  27
35.97  23

Cell and atoms:
```
data_Pm3Er2
_chemical_formula_sum 'Pm6 Er4'
_cell_length_a 9.314
_cell_length_b 9.314
_cell_length_c 9.314
_cell_angle_alpha 139.09
_cell_angle_beta 57.87
_cell_angle_gamma 140.91
_space_group_name_H-M_alt 'P 1'
_space_group_IT_number 1
loop_
_space_group_symop_operation_xyz
'x,y,z'
loop_
_atom_site_label
_atom_site_fract_x
_atom_site_fract_y
_atom_site_fract_z
Pm1 0.098 0.606 0.703
Pm2 0.250 0.250 0.000
Pm3 0.402 0.106 0.508
Pm4 0.598 0.894 0.492
Pm5 0.750 0.750 0.000
Pm6 0.902 0.394 0.297
Er1 0.194 0.135 0.328
Er2 0.306 0.635 0.941
Er3 0.694 0.365 0.059
Er4 0.806 0.865 0.672
```

---

No. 8
Starting from a structure optimized by DFT (GGA-PBE), the powder XRD pattern of Pm4Er3 was simulated for Cu Kα, 1.54184 Å.
Peak positions follow from Bragg's law for the DFT cell and can differ from measured ones.

Top 6 peaks for 10 to 90 degrees two-theta, in order of rising 2θ:
two_theta  I (rel.)
30.52  100
35.35  34
35.47  17
50.84  18
50.99  18
60.53  29

Cell and atoms:
```
data_Pm4Er3
_chemical_formula_sum 'Pm4 Er3'
_cell_length_a 6.198
_cell_length_b 6.198
_cell_length_c 8.042
_cell_angle_alpha 97.40
_cell_angle_beta 97.40
_cell_angle_gamma 48.34
_space_group_name_H-M_alt 'P 1'
_space_group_IT_number 1
loop_
_space_group_symop_operation_xyz
'x,y,z'
loop_
_atom_site_label
_atom_site_fract_x
_atom_site_fract_y
_atom_site_fract_z
Pm1 0.142 0.142 0.427
Pm2 0.286 0.286 0.859
Pm3 0.714 0.714 0.141
Pm4 0.858 0.858 0.573
Er1 0.000 0.000 0.000
Er2 0.429 0.429 0.286
Er3 0.571 0.571 0.714
```